Structure and computed X-ray powder pattern of LiSnP2O7 (a PBE-relaxed structure; Cu Kα (λ = 1.5418 Å)).
No peak broadening, texture or thermal motion is included.

Crystal structure
Cell lengths 7.304, 8.794, 9.225 Å; angles 90.00, 112.85, 90.00 degrees
Space group P2_1/c (No. 14)
Asymmetric unit:
Li1 0.212 0.048 0.327
Sn1 0.249 0.078 0.882
P1 0.036 0.726 0.970
P2 0.433 0.740 0.252
O1 0.006 0.093 0.648
O2 0.041 0.620 0.396
O3 0.112 0.225 0.447
O4 0.250 0.677 0.099
O5 0.381 0.613 0.806
O6 0.387 0.240 0.297
O7 0.471 0.603 0.374

Principal peaks in the range 2θ = 10–80°, by angle:
- 14.5°, I 61, hkl 0 1 1
- 16.6°, I 70, hkl 1 1 -1
- 24.2°, I 31, hkl 1 2 -1
- 26.4°, I 21, hkl 2 1 -1
- 28.5°, I 100, hkl 1 2 -2
- 28.9°, I 66, hkl 1 0 2
- 33.3°, I 22, hkl 1 3 0
- 40.9°, I 25, hkl 2 3 -2

***

Structure and computed X-ray powder pattern of LiSnPO4 (a PBE-relaxed structure; Cu Kα (λ = 1.5418 Å)).
No peak broadening, texture or thermal motion is included.

Crystal structure
Cell lengths 5.375, 5.622, 14.191 Å; angles 90.00, 90.00, 90.00 degrees
Space group P2_12_12_1 (No. 19)
Asymmetric unit:
Li1 0.201 0.138 0.250
Sn1 0.207 0.029 0.972
P1 0.245 0.335 0.627
O1 0.012 0.921 0.835
O2 0.044 0.497 0.158
O3 0.196 0.926 0.147
O4 0.209 0.350 0.514

Principal peaks in the range 2θ = 10–80°, by angle:
- 12.5°, I 100, hkl 0 0 2
- 20.2°, I 36, hkl 0 1 2
- 22.9°, I 50, hkl 1 1 0
- 26.1°, I 58, hkl 1 1 2
- 29.8°, I 21, hkl 0 1 4
- 34.3°, I 40, hkl 0 2 2
- 35.7°, I 22, hkl 2 0 2
- 53.4°, I 20, hkl 1 3 2

***

Structure and computed X-ray powder pattern of LiSnP2O7 (a PBE-relaxed structure; Cu Kα (λ = 1.5418 Å)).
No peak broadening, texture or thermal motion is included.

Crystal structure
Cell lengths 5.120, 6.665, 9.678 Å; angles 109.68, 91.53, 109.33 degrees
Space group P-1 (No. 2)
Asymmetric unit:
Li1 0.060 0.329 0.041
Sn1 0.148 0.121 0.336
P1 0.289 0.672 0.379
P2 0.497 0.164 0.859
O1 0.084 0.805 0.406
O2 0.147 0.417 0.275
O3 0.188 0.097 0.882
O4 0.291 0.626 0.024
O5 0.409 0.044 0.178
O6 0.440 0.700 0.525
O7 0.475 0.211 0.704

Principal peaks in the range 2θ = 10–80°, by angle:
- 15.1°, I 80, hkl 0 1 0
- 19.7°, I 43, hkl 1 0 -1
- 20.0°, I 71, hkl 0 1 -2
- 22.4°, I 100, hkl 1 0 1
- 25.0°, I 64, hkl 1 0 -2
- 29.5°, I 57, hkl 1 -2 0
- 29.7°, I 65, hkl 0 2 -2
- 32.6°, I 32, hkl 1 1 1

***

Structure and computed X-ray powder pattern of Li3Sn2P5O16 (a PBE-relaxed structure; Cu Kα (λ = 1.5418 Å)).
No peak broadening, texture or thermal motion is included.

Crystal structure
Cell lengths 5.260, 7.524, 18.705 Å; angles 90.00, 95.46, 90.00 degrees
Space group P2/c (No. 13)
Asymmetric unit:
Li1 0.000 0.034 0.250
Li2 0.295 0.371 0.959
Sn1 0.230 0.145 0.421
P1 0.223 0.156 0.594
P2 0.232 0.476 0.124
P3 0.500 0.249 0.250
O1 0.016 0.205 0.533
O2 0.047 0.427 0.392
O3 0.140 0.004 0.138
O4 0.241 0.322 0.652
O5 0.309 0.147 0.289
O6 0.342 0.385 0.198
O7 0.404 0.443 0.066
O8 0.488 0.145 0.567

Principal peaks in the range 2θ = 10–80°, by angle:
- 12.7°, I 75, hkl 0 1 1
- 19.1°, I 48, hkl 0 0 4
- 20.8°, I 54, hkl 1 1 -1
- 21.6°, I 100, hkl 1 1 1
- 24.3°, I 49, hkl 1 0 -4
- 29.4°, I 71, hkl 1 2 -1
- 29.9°, I 49, hkl 1 2 1
- 46.5°, I 49, hkl 0 3 6

***

Structure and computed X-ray powder pattern of LiSn4P3O12 (a PBE-relaxed structure; Cu Kα (λ = 1.5418 Å)).
No peak broadening, texture or thermal motion is included.

Crystal structure
Cell lengths 9.7855, 9.7855, 24.7734 Å; angles 90.00, 90.00, 120.00 degrees
Space group R3c (No. 161, hexagonal axes)
Asymmetric unit:
Li1 0.0000 0.0000 0.0000
Sn1 0.0000 0.0000 0.3529
Sn2 0.0670 0.2629 0.2190
P1 0.1219 0.3395 0.0919
O1 0.0166 0.1783 0.4063
O2 0.0686 0.4841 0.2160
O3 0.1037 0.3792 0.7673
O4 0.1530 0.3601 0.6471

Principal peaks in the range 2θ = 10–80°, by angle:
- 21.1°, I 21, hkl 1 1 3
- 21.5°, I 42, hkl 0 0 6
- 22.2°, I 100, hkl 2 0 2
- 25.5°, I 21, hkl 0 2 4
- 28.1°, I 36, hkl 2 1 1
- 31.4°, I 31, hkl 2 1 4
- 46.3°, I 24, hkl 2 1 10
- 50.6°, I 23, hkl 4 1 3

***

Structure and computed X-ray powder pattern of LiSnP2O7 (a PBE-relaxed structure; Cu Kα (λ = 1.5418 Å)).
No peak broadening, texture or thermal motion is included.

Crystal structure
Cell lengths 6.663, 6.737, 6.821 Å; angles 66.62, 80.89, 81.40 degrees
Space group P-1 (No. 2)
Asymmetric unit:
Li1 0.119 0.161 0.357
Sn1 0.325 0.387 0.752
P1 0.153 0.725 0.266
P2 0.392 0.851 0.824
O1 0.012 0.583 0.229
O2 0.050 0.878 0.370
O3 0.259 0.877 0.037
O4 0.275 0.712 0.758
O5 0.335 0.569 0.386
O6 0.392 0.253 0.112
O7 0.394 0.087 0.664

Principal peaks in the range 2θ = 10–80°, by angle:
- 13.5°, I 58, hkl 1 0 0
- 14.4°, I 57, hkl 0 1 0
- 15.9°, I 100, hkl 0 1 1
- 20.7°, I 80, hkl 1 0 -1
- 27.0°, I 82, hkl 0 2 1
- 28.2°, I 54, hkl 1 2 1
- 28.7°, I 92, hkl 0 0 2
- 29.4°, I 76, hkl 2 0 1